No. 1
Calculated X-ray diffraction stick pattern
Compound: LiZn3Ag2
Radiation: Cu Ka
Structure: a DFT-relaxed cell (PBE, Alexandria)
Kinematic intensities with the Lorentz-polarization factor, no thermal factor.

Atomic structure:
```
data_LiZn3Ag2
_chemical_formula_sum 'Li4 Zn12 Ag8'
_cell_length_a 7.0273
_cell_length_b 7.6211
_cell_length_c 7.1848
_cell_angle_alpha 90.00
_cell_angle_beta 103.26
_cell_angle_gamma 90.00
_symmetry_space_group_name_H-M 'C 1 2/c 1'
_symmetry_Int_Tables_number 15
loop_
_symmetry_equiv_pos_as_xyz
'x,y,z'
'-x,-y,-z'
'-x,y,-z+1/2'
'x,-y,z+1/2'
'x+1/2,y+1/2,z'
'-x+1/2,-y+1/2,-z'
'-x+1/2,y+1/2,-z+1/2'
'x+1/2,-y+1/2,z+1/2'
loop_
_atom_site_label
_atom_site_type_symbol
_atom_site_fract_x
_atom_site_fract_y
_atom_site_fract_z
Li1 Li 0.0000 0.0877 0.2500
Zn1 Zn 0.0000 0.4228 0.2500
Zn2 Zn 0.2460 0.4160 0.0060
Ag1 Ag 0.1240 0.2377 0.6230
```

Main lines, low angle first (2θ from 10° to 80°):
- hkl 1 1 1, 3.815 Å, 2θ 23.32, rel. 30
- hkl 1 1 -3, 2.271 Å, 2θ 39.68, rel. 44
- hkl 2 2 -2, 2.249 Å, 2θ 40.10, rel. 41
- hkl 3 1 -1, 2.229 Å, 2θ 40.47, rel. 39
- hkl 2 0 2, 2.203 Å, 2θ 40.98, rel. 100
- hkl 0 2 4, 1.589 Å, 2θ 58.05, rel. 14
- hkl 4 2 0, 1.560 Å, 2θ 59.23, rel. 12
- hkl 3 3 3, 1.272 Å, 2θ 74.58, rel. 16

***

No. 2
Calculated X-ray diffraction stick pattern
Compound: B2Ru
Radiation: Cu Ka
Structure: a DFT-relaxed cell (PBE, Alexandria)
Kinematic intensities with the Lorentz-polarization factor, no thermal factor.

Atomic structure:
```
data_B2Ru
_chemical_formula_sum 'B4 Ru2'
_cell_length_a 2.8781
_cell_length_b 4.6686
_cell_length_c 4.0607
_cell_angle_alpha 90.00
_cell_angle_beta 90.00
_cell_angle_gamma 90.00
_symmetry_space_group_name_H-M 'P m m n'
_symmetry_Int_Tables_number 59
loop_
_symmetry_equiv_pos_as_xyz
'x,y,z'
'-x,-y,-z'
'-x+1/2,-y+1/2,z'
'x+1/2,y+1/2,-z'
'x+1/2,-y,-z'
'-x+1/2,y,z'
'-x,y+1/2,-z'
'x,-y+1/2,z'
loop_
_atom_site_label
_atom_site_type_symbol
_atom_site_fract_x
_atom_site_fract_y
_atom_site_fract_z
B1 B 0.2500 0.0546 0.1366
Ru1 Ru 0.2500 0.2500 0.6523
```

Main lines, low angle first (2θ from 10° to 80°):
- hkl 0 0 1, 4.061 Å, 2θ 21.89, rel. 35
- hkl 0 1 1, 3.064 Å, 2θ 29.15, rel. 100
- hkl 1 1 0, 2.450 Å, 2θ 36.68, rel. 99
- hkl 1 0 1, 2.348 Å, 2θ 38.33, rel. 39
- hkl 1 1 1, 2.098 Å, 2θ 43.12, rel. 33
- hkl 0 1 2, 1.862 Å, 2θ 48.92, rel. 38
- hkl 1 0 2, 1.659 Å, 2θ 55.38, rel. 30
- hkl 1 2 1, 1.655 Å, 2θ 55.51, rel. 42

***

No. 3
Calculated X-ray diffraction stick pattern
Compound: Zr2SnGe
Radiation: Cu Ka
Structure: a DFT-relaxed cell (PBE, Alexandria)
Kinematic intensities with the Lorentz-polarization factor, no thermal factor.

Atomic structure:
```
data_Zr2SnGe
_chemical_formula_sum 'Zr6 Sn3 Ge3'
_cell_length_a 3.8561
_cell_length_b 3.8561
_cell_length_c 21.1620
_cell_angle_alpha 90.00
_cell_angle_beta 90.00
_cell_angle_gamma 120.00
_symmetry_space_group_name_H-M 'R -3 m'
_symmetry_Int_Tables_number 166
_symmetry_space_group_name_Hall '-R 3 2"'
loop_
_atom_site_label
_atom_site_type_symbol
_atom_site_fract_x
_atom_site_fract_y
_atom_site_fract_z
Zr1 Zr 0.0000 0.0000 0.2405
Sn1 Sn 0.0000 0.0000 0.0000
Ge1 Ge 0.0000 0.0000 0.5000
```

Main lines, low angle first (2θ from 10° to 80°):
- hkl 1 0 4, 2.824 Å, 2θ 31.68, rel. 100
- hkl 0 1 8, 2.074 Å, 2θ 43.65, rel. 38
- hkl 1 1 0, 1.928 Å, 2θ 47.14, rel. 34
- hkl 0 0 12, 1.763 Å, 2θ 51.84, rel. 7
- hkl 0 2 4, 1.592 Å, 2θ 57.91, rel. 18
- hkl 2 0 8, 1.412 Å, 2θ 66.18, rel. 11
- hkl 1 1 12, 1.301 Å, 2θ 72.66, rel. 14
- hkl 2 1 4, 1.228 Å, 2θ 77.79, rel. 15

***

No. 4
Calculated X-ray diffraction stick pattern
Compound: Tm2AgC
Radiation: Cu Ka
Structure: a DFT-relaxed cell (PBE, Alexandria)
Kinematic intensities with the Lorentz-polarization factor, no thermal factor.

Atomic structure:
```
data_Tm2AgC
_chemical_formula_sum 'Tm6 Ag3 C3'
_cell_length_a 3.5942
_cell_length_b 3.5942
_cell_length_c 21.7250
_cell_angle_alpha 90.00
_cell_angle_beta 90.00
_cell_angle_gamma 120.00
_symmetry_space_group_name_H-M 'R -3 m'
_symmetry_Int_Tables_number 166
_symmetry_space_group_name_Hall '-R 3 2"'
loop_
_atom_site_label
_atom_site_type_symbol
_atom_site_fract_x
_atom_site_fract_y
_atom_site_fract_z
Tm1 Tm 0.0000 0.0000 0.2267
Ag1 Ag 0.0000 0.0000 0.0000
C1 C 0.0000 0.0000 0.5000
```

Main lines, low angle first (2θ from 10° to 80°):
- hkl 1 0 1, 3.081 Å, 2θ 28.98, rel. 20
- hkl 0 1 2, 2.992 Å, 2θ 29.86, rel. 31
- hkl 1 0 4, 2.701 Å, 2θ 33.17, rel. 100
- hkl 0 1 5, 2.530 Å, 2θ 35.48, rel. 55
- hkl 0 0 9, 2.414 Å, 2θ 37.25, rel. 27
- hkl 0 1 8, 2.046 Å, 2θ 44.26, rel. 17
- hkl 1 1 0, 1.797 Å, 2θ 50.81, rel. 38
- hkl 1 1 9, 1.441 Å, 2θ 64.66, rel. 33

***

No. 5
Calculated X-ray diffraction stick pattern
Compound: BiPdICl2
Radiation: Cu Ka
Structure: a DFT-relaxed cell (PBE, Alexandria)
Kinematic intensities with the Lorentz-polarization factor, no thermal factor.

Atomic structure:
```
data_BiPdICl2
_chemical_formula_sum 'Bi1 Pd1 I1 Cl2'
_cell_length_a 4.8127
_cell_length_b 4.8127
_cell_length_c 5.7931
_cell_angle_alpha 90.00
_cell_angle_beta 90.00
_cell_angle_gamma 90.00
_symmetry_space_group_name_H-M 'P 4/m m m'
_symmetry_Int_Tables_number 123
_symmetry_space_group_name_Hall '-P 4 2'
loop_
_atom_site_label
_atom_site_type_symbol
_atom_site_fract_x
_atom_site_fract_y
_atom_site_fract_z
Bi1 Bi 0.0000 0.0000 0.0000
Pd1 Pd 0.0000 0.0000 0.5000
I1 I 0.5000 0.5000 0.0000
Cl1 Cl 0.0000 0.5000 0.5000
```

Main lines, low angle first (2θ from 10° to 80°):
- hkl 1 0 0, 4.813 Å, 2θ 18.44, rel. 60
- hkl 1 1 0, 3.403 Å, 2θ 26.19, rel. 100
- hkl 1 1 1, 2.934 Å, 2θ 30.46, rel. 89
- hkl 0 0 2, 2.897 Å, 2θ 30.87, rel. 65
- hkl 2 0 0, 2.406 Å, 2θ 37.37, rel. 77
- hkl 1 1 2, 2.206 Å, 2θ 40.91, rel. 64
- hkl 2 0 2, 1.851 Å, 2θ 49.23, rel. 69
- hkl 2 2 2, 1.467 Å, 2θ 63.40, rel. 32

***

No. 6
Calculated X-ray diffraction stick pattern
Compound: NaLaH8Pt2
Radiation: Cu Ka
Structure: a DFT-relaxed cell (PBE, Alexandria)
Kinematic intensities with the Lorentz-polarization factor, no thermal factor.

Atomic structure:
```
data_NaLaH8Pt2
_chemical_formula_sum 'Na3 La3 H24 Pt6'
_cell_length_a 4.3123
_cell_length_b 4.3123
_cell_length_c 25.4639
_cell_angle_alpha 90.00
_cell_angle_beta 90.00
_cell_angle_gamma 120.00
_symmetry_space_group_name_H-M 'R -3 m'
_symmetry_Int_Tables_number 166
_symmetry_space_group_name_Hall '-R 3 2"'
loop_
_atom_site_label
_atom_site_type_symbol
_atom_site_fract_x
_atom_site_fract_y
_atom_site_fract_z
Na1 Na 0.0000 0.0000 0.0000
La1 La 0.0000 0.0000 0.5000
H1 H 0.0000 0.0000 0.1796
H2 H 0.0251 0.5125 0.0488
Pt1 Pt 0.0000 0.0000 0.2476
```

Main lines, low angle first (2θ from 10° to 80°):
- hkl 0 0 3, 8.488 Å, 2θ 10.42, rel. 17
- hkl 0 1 2, 3.584 Å, 2θ 24.85, rel. 22
- hkl 1 0 4, 3.221 Å, 2θ 27.69, rel. 100
- hkl 0 1 8, 2.422 Å, 2θ 37.11, rel. 47
- hkl 1 1 0, 2.156 Å, 2θ 41.90, rel. 34
- hkl 0 2 4, 1.792 Å, 2θ 50.97, rel. 19
- hkl 1 1 12, 1.512 Å, 2θ 61.29, rel. 22
- hkl 2 1 4, 1.378 Å, 2θ 68.03, rel. 16

***

No. 7
Calculated X-ray diffraction stick pattern
Compound: Ca4U3CuAs8
Radiation: Cu Ka
Structure: a DFT-relaxed cell (PBE, Alexandria)
Kinematic intensities with the Lorentz-polarization factor, no thermal factor.

Atomic structure:
```
data_Ca4U3CuAs8
_chemical_formula_sum 'Ca12 U9 Cu3 As24'
_cell_length_a 8.1849
_cell_length_b 8.1849
_cell_length_c 20.5647
_cell_angle_alpha 90.00
_cell_angle_beta 90.00
_cell_angle_gamma 120.00
_symmetry_space_group_name_H-M 'R -3 m'
_symmetry_Int_Tables_number 166
_symmetry_space_group_name_Hall '-R 3 2"'
loop_
_atom_site_label
_atom_site_type_symbol
_atom_site_fract_x
_atom_site_fract_y
_atom_site_fract_z
Ca1 Ca 0.0000 0.0000 0.0000
Ca2 Ca 0.0000 0.5000 0.0000
U1 U 0.0000 0.5000 0.5000
Cu1 Cu 0.0000 0.0000 0.5000
As1 As 0.0000 0.0000 0.2443
As2 As 0.0005 0.5003 0.2411
```

Main lines, low angle first (2θ from 10° to 80°):
- hkl 0 0 3, 6.855 Å, 2θ 12.91, rel. 46
- hkl 0 2 1, 3.493 Å, 2θ 25.50, rel. 20
- hkl 0 2 4, 2.918 Å, 2θ 30.64, rel. 100
- hkl 2 0 8, 2.081 Å, 2θ 43.49, rel. 36
- hkl 2 2 0, 2.046 Å, 2θ 44.27, rel. 37
- hkl 4 0 4, 1.675 Å, 2θ 54.79, rel. 19
- hkl 2 2 12, 1.314 Å, 2θ 71.86, rel. 15
- hkl 2 4 4, 1.296 Å, 2θ 72.98, rel. 16

***

No. 8
Calculated X-ray diffraction stick pattern
Compound: Ac4LaBi5
Radiation: Cu Ka
Structure: a DFT-relaxed cell (PBE, Alexandria)
Kinematic intensities with the Lorentz-polarization factor, no thermal factor.

Atomic structure:
```
data_Ac4LaBi5
_chemical_formula_sum 'Ac8 La2 Bi10'
_cell_length_a 4.8484
_cell_length_b 6.8564
_cell_length_c 24.2337
_cell_angle_alpha 90.00
_cell_angle_beta 90.00
_cell_angle_gamma 90.00
_symmetry_space_group_name_H-M 'I m m m'
_symmetry_Int_Tables_number 71
_symmetry_space_group_name_Hall '-I 2 2'
loop_
_atom_site_label
_atom_site_type_symbol
_atom_site_fract_x
_atom_site_fract_y
_atom_site_fract_z
Ac1 Ac 0.0000 0.0000 0.0996
Ac2 Ac 0.0000 0.0000 0.3016
La1 La 0.0000 0.0000 0.5000
Bi1 Bi 0.0000 0.5000 0.0962
Bi2 Bi 0.0000 0.5000 0.2994
Bi3 Bi 0.0000 0.5000 0.5000
```

Main lines, low angle first (2θ from 10° to 80°):
- hkl 0 2 0, 3.428 Å, 2θ 25.99, rel. 100
- hkl 2 0 0, 2.424 Å, 2θ 37.09, rel. 80
- hkl 2 2 0, 1.979 Å, 2θ 45.85, rel. 30
- hkl 0 4 0, 1.714 Å, 2θ 53.46, rel. 14
- hkl 3 0 5, 1.533 Å, 2θ 60.38, rel. 40
- hkl 2 4 0, 1.399 Å, 2θ 66.85, rel. 30
- hkl 4 0 0, 1.212 Å, 2θ 79.00, rel. 9

***

No. 9
Calculated X-ray diffraction stick pattern
Compound: RbSnSeF
Radiation: Cu Ka
Structure: a DFT-relaxed cell (PBE, Alexandria)
Kinematic intensities with the Lorentz-polarization factor, no thermal factor.

Atomic structure:
```
data_RbSnSeF
_chemical_formula_sum 'Rb2 Sn2 Se2 F2'
_cell_length_a 11.3854
_cell_length_b 3.9678
_cell_length_c 5.5614
_cell_angle_alpha 90.00
_cell_angle_beta 91.53
_cell_angle_gamma 90.00
_symmetry_space_group_name_H-M 'C 1 m 1'
_symmetry_Int_Tables_number 8
loop_
_symmetry_equiv_pos_as_xyz
'x,y,z'
'x,-y,z'
'x+1/2,y+1/2,z'
'x+1/2,-y+1/2,z'
loop_
_atom_site_label
_atom_site_type_symbol
_atom_site_fract_x
_atom_site_fract_y
_atom_site_fract_z
Rb1 Rb 0.0000 0.0000 0.0000
Sn1 Sn 0.2134 0.5000 0.5130
Se1 Se 0.3751 0.0000 0.4833
F1 F 0.1651 0.5000 0.1403
```

Main lines, low angle first (2θ from 10° to 80°):
- hkl 0 0 1, 5.559 Å, 2θ 15.94, rel. 36
- hkl 2 0 -1, 4.031 Å, 2θ 22.05, rel. 63
- hkl 2 0 1, 3.925 Å, 2θ 22.66, rel. 57
- hkl 1 1 -1, 3.120 Å, 2θ 28.61, rel. 55
- hkl 1 1 1, 3.094 Å, 2θ 28.85, rel. 48
- hkl 0 0 2, 2.780 Å, 2θ 32.20, rel. 51
- hkl 3 1 0, 2.742 Å, 2θ 32.66, rel. 100
- hkl 3 1 -2, 1.972 Å, 2θ 46.03, rel. 35

***

No. 10
Calculated X-ray diffraction stick pattern
Compound: NbGe2
Radiation: Cu Ka
Structure: a DFT-relaxed cell (PBE, Alexandria)
Kinematic intensities with the Lorentz-polarization factor, no thermal factor.

Atomic structure:
```
data_NbGe2
_chemical_formula_sum 'Nb3 Ge6'
_cell_length_a 5.0091
_cell_length_b 5.0091
_cell_length_c 6.8394
_cell_angle_alpha 90.00
_cell_angle_beta 90.00
_cell_angle_gamma 120.00
_symmetry_space_group_name_H-M 'P 64 2 2'
_symmetry_Int_Tables_number 181
_symmetry_space_group_name_Hall 'P 64 2 (0 0 2)'
loop_
_atom_site_label
_atom_site_type_symbol
_atom_site_fract_x
_atom_site_fract_y
_atom_site_fract_z
Nb1 Nb 0.0000 0.5000 0.3333
Ge1 Ge 0.1643 0.3285 0.0000
```

Main lines, low angle first (2θ from 10° to 80°):
- hkl 1 1 0, 2.505 Å, 2θ 35.85, rel. 15
- hkl 1 1 1, 2.352 Å, 2θ 38.27, rel. 100
- hkl 0 0 3, 2.280 Å, 2θ 39.53, rel. 34
- hkl 1 1 2, 2.021 Å, 2θ 44.86, rel. 63
- hkl 3 0 1, 1.415 Å, 2θ 66.04, rel. 19
- hkl 1 1 4, 1.412 Å, 2θ 66.18, rel. 19
- hkl 3 0 2, 1.332 Å, 2θ 70.74, rel. 16
- hkl 2 2 0, 1.252 Å, 2θ 75.99, rel. 14

***

No. 11
Calculated X-ray diffraction stick pattern
Compound: Tb3Tm3Co4
Radiation: Cu Ka
Structure: a DFT-relaxed cell (PBE, Alexandria)
Kinematic intensities with the Lorentz-polarization factor, no thermal factor.

Atomic structure:
```
data_Tb3Tm3Co4
_chemical_formula_sum 'Tb6 Tm6 Co8'
_cell_length_a 4.1450
_cell_length_b 10.0967
_cell_length_c 10.1364
_cell_angle_alpha 90.00
_cell_angle_beta 90.00
_cell_angle_gamma 90.00
_symmetry_space_group_name_H-M 'A m m 2'
_symmetry_Int_Tables_number 38
loop_
_symmetry_equiv_pos_as_xyz
'x,y,z'
'-x,-y,z'
'-x,y,z'
'x,-y,z'
'x,y+1/2,z+1/2'
'-x,-y+1/2,z+1/2'
'-x,y+1/2,z+1/2'
'x,-y+1/2,z+1/2'
loop_
_atom_site_label
_atom_site_type_symbol
_atom_site_fract_x
_atom_site_fract_y
_atom_site_fract_z
Tb1 Tb 0.0000 0.0000 0.0000
Tb2 Tb 0.5000 0.2501 0.0802
Tm1 Tm 0.0000 0.0000 0.6562
Tm2 Tm 0.0000 0.1711 0.3301
Co1 Co 0.5000 0.0000 0.2235
Co2 Co 0.5000 0.0000 0.4457
Co3 Co 0.5000 0.1119 0.8258
```

Main lines, low angle first (2θ from 10° to 80°):
- hkl 0 1 3, 3.205 Å, 2θ 27.83, rel. 32
- hkl 1 2 2, 2.708 Å, 2θ 33.08, rel. 70
- hkl 1 3 1, 2.533 Å, 2θ 35.44, rel. 100
- hkl 0 4 2, 2.262 Å, 2θ 39.85, rel. 42
- hkl 2 0 0, 2.072 Å, 2θ 43.68, rel. 23
- hkl 1 3 5, 1.600 Å, 2θ 57.59, rel. 13
- hkl 2 4 2, 1.528 Å, 2θ 60.60, rel. 24
- hkl 1 4 6, 1.330 Å, 2θ 70.84, rel. 18